# ErMgTl2
Calculated PXRD pattern, Cu Kα (λ = 1.5418 Å). Input: DFT lattice parameters and positions (PBE).

Peak list (10 most intense, 2θ from 15° to 90°, sorted by position)
2θ (°)  I_rel
20.65  13
23.89  15
34.04  100
40.15  7
42.02  5
48.91  18
55.14  7
60.93  38
71.67  12
81.77  17

Structural model:
Unit cell a=7.4492 b=7.4492 c=7.4492 alpha=90.00 beta=90.00 gamma=90.00
Space group Fm-3m (No. 225)
Asymmetric unit:
Er1 0.0000 0.0000 0.0000 (multiplicity 4)
Mg1 0.0000 0.0000 0.5000 (multiplicity 4)
Tl1 0.2500 0.2500 0.2500 (multiplicity 8)

# ErTmMg2
Calculated PXRD pattern, Cu Kα (λ = 1.5418 Å). Input: DFT lattice parameters and positions (PBE).

Peak list (10 most intense, 2θ from 15° to 90°, sorted by position)
2θ (°)  I_rel
23.67  65
33.73  100
41.62  20
48.44  18
54.60  28
60.33  38
70.93  12
75.96  13
80.88  16
85.74  8

Structural model:
Unit cell a=7.5165 b=7.5165 c=7.5165 alpha=90.00 beta=90.00 gamma=90.00
Space group Fm-3m (No. 225)
Asymmetric unit:
Er1 0.0000 0.0000 0.0000 (multiplicity 4)
Tm1 0.0000 0.0000 0.5000 (multiplicity 4)
Mg1 0.2500 0.2500 0.2500 (multiplicity 8)

# ErMn2
Calculated PXRD pattern, Cu Kα (λ = 1.5418 Å). Input: DFT lattice parameters and positions (PBE).

Peak list (10 most intense, 2θ from 15° to 90°, sorted by position)
2θ (°)  I_rel
33.51  32
34.49  61
37.24  88
37.54  42
39.80  43
40.66  100
40.74  20
41.83  24
62.38  25
68.62  22

Structural model:
Unit cell a=8.9289 b=5.3485 c=8.5180 alpha=90.00 beta=90.07 gamma=90.00
Space group C2/m (No. 12)
Asymmetric unit:
Er1 0.1683 0.0000 0.0626 (multiplicity 4)
Er2 0.1681 0.0000 0.4372 (multiplicity 4)
Mn1 0.0000 0.5000 0.0000 (multiplicity 2)
Mn2 0.0000 0.5000 0.5000 (multiplicity 2)
Mn3 0.0762 0.2552 0.7502 (multiplicity 8)
Mn4 0.1845 0.5000 0.2496 (multiplicity 4)

# ErMn2
Calculated PXRD pattern, Cu Kα (λ = 1.5418 Å). Input: DFT lattice parameters and positions (PBE).

Peak list (10 most intense, 2θ from 15° to 90°, sorted by position)
2θ (°)  I_rel
34.06  36
35.33  65
37.28  26
37.49  51
38.68  45
40.54  100
41.16  24
41.90  25
42.74  40
71.65  23

Structural model:
Unit cell a=8.7211 b=5.2651 c=8.3426 alpha=90.00 beta=93.74 gamma=90.00
Space group C2/m (No. 12)
Asymmetric unit:
Er1 0.1657 0.0000 0.4365 (multiplicity 4)
Er2 0.1694 0.0000 0.0615 (multiplicity 4)
Mn1 0.0000 0.5000 0.0000 (multiplicity 2)
Mn2 0.0000 0.5000 0.5000 (multiplicity 2)
Mn3 0.0847 0.2553 0.7444 (multiplicity 8)
Mn4 0.1680 0.5000 0.2455 (multiplicity 4)

# ErMn2
Calculated PXRD pattern, Cu Kα (λ = 1.5418 Å). Input: DFT lattice parameters and positions (PBE).

Peak list (10 most intense, 2θ from 15° to 90°, sorted by position)
2θ (°)  I_rel
19.27  17
33.71  73
38.75  88
40.63  100
40.74  50
63.66  39
64.99  24
70.88  22
71.34  25
83.83  19

Structural model:
Unit cell a=5.3183 b=5.3183 c=8.0732 alpha=90.00 beta=90.00 gamma=120.00
Space group P6_3/mmc (No. 194)
Asymmetric unit:
Er1 0.3333 0.6667 0.0599 (multiplicity 4)
Mn1 0.0000 0.0000 0.0000 (multiplicity 2)
Mn2 0.1689 0.3379 0.7500 (multiplicity 6)

# ErMn2
Calculated PXRD pattern, Cu Kα (λ = 1.5418 Å). Input: DFT lattice parameters and positions (PBE).

Peak list (10 most intense, 2θ from 15° to 90°, sorted by position)
2θ (°)  I_rel
21.44  22
35.36  73
41.73  100
43.68  12
55.82  6
63.48  27
67.83  30
74.81  22
85.56  12
89.53  11

Structural model:
Unit cell a=7.1790 b=7.1790 c=7.1790 alpha=90.00 beta=90.00 gamma=90.00
Space group Fd-3m (No. 227, origin choice 2)
Asymmetric unit:
Er1 0.1250 0.1250 0.1250 (multiplicity 8)
Mn1 0.0000 0.0000 0.5000 (multiplicity 16)

# Er9MnS14
Calculated PXRD pattern, Cu Kα (λ = 1.5418 Å). Input: DFT lattice parameters and positions (PBE).

Peak list (10 most intense, 2θ from 15° to 90°, sorted by position)
2θ (°)  I_rel
24.33  84
24.85  100
26.66  30
28.46  39
32.11  33
32.50  27
33.77  46
34.88  41
42.70  31
48.42  27

Structural model:
Unit cell a=12.5478 b=3.7597 c=22.8858 alpha=90.00 beta=104.59 gamma=90.00
Space group Cm (No. 8)
Asymmetric unit:
Er1 0.0000 0.0000 0.0000 (multiplicity 2)
Er2 0.0004 0.0000 0.4952 (multiplicity 2)
Er3 0.1122 0.0000 0.7090 (multiplicity 2)
Er4 0.1137 0.0000 0.2158 (multiplicity 2)
Er5 0.1946 0.5000 0.3966 (multiplicity 2)
Er6 0.1990 0.5000 0.9052 (multiplicity 2)
Er7 0.3024 0.0000 0.5921 (multiplicity 2)
Er8 0.3043 0.0000 0.0985 (multiplicity 2)
Er9 0.3877 0.5000 0.7882 (multiplicity 2)
Mn1 0.3870 0.5000 0.2882 (multiplicity 2)
S1 0.0005 0.5000 0.7490 (multiplicity 2)
S2 0.0369 0.0000 0.3870 (multiplicity 2)
S3 0.0406 0.0000 0.8914 (multiplicity 2)
S4 0.1589 0.5000 0.5241 (multiplicity 2)
S5 0.1607 0.5000 0.0248 (multiplicity 2)
S6 0.2412 0.5000 0.6753 (multiplicity 2)
S7 0.2421 0.5000 0.1780 (multiplicity 2)
S8 0.2594 0.0000 0.8225 (multiplicity 2)
S9 0.2670 0.0000 0.3219 (multiplicity 2)
S10 0.3394 0.0000 0.4732 (multiplicity 2)
S11 0.3413 0.0000 0.9732 (multiplicity 2)
S12 0.4610 0.5000 0.1075 (multiplicity 2)
S13 0.4605 0.5000 0.6056 (multiplicity 2)
S14 0.4943 0.0000 0.2502 (multiplicity 2)

# Er6MnSi2S14
Calculated PXRD pattern, Cu Kα (λ = 1.5418 Å). Input: DFT lattice parameters and positions (PBE).

Peak list (10 most intense, 2θ from 15° to 90°, sorted by position)
2θ (°)  I_rel
19.01  34
24.13  47
26.33  100
27.73  32
32.08  28
36.57  28
38.12  48
38.57  33
41.54  53
42.89  33

Structural model:
Unit cell a=9.8275 b=9.8275 c=5.5832 alpha=90.00 beta=90.00 gamma=120.00
Space group P3 (No. 143)
Asymmetric unit:
Er1 0.0220 0.5666 0.0000 (multiplicity 3)
Er2 0.3109 0.1000 0.4995 (multiplicity 3)
Mn1 0.6667 0.3333 0.2607 (multiplicity 1)
Si1 0.0000 0.0000 0.9146 (multiplicity 1)
Si2 0.3333 0.6667 0.4129 (multiplicity 1)
S1 0.0000 0.0000 0.2911 (multiplicity 1)
S2 0.0785 0.8521 0.7622 (multiplicity 3)
S3 0.1855 0.4402 0.2607 (multiplicity 3)
S4 0.3333 0.6667 0.7895 (multiplicity 1)
S5 0.4179 0.1710 0.0205 (multiplicity 3)
S6 0.5026 0.4177 0.5060 (multiplicity 3)

# Er6MnSb2
Calculated PXRD pattern, Cu Kα (λ = 1.5418 Å). Input: DFT lattice parameters and positions (PBE).

Peak list (10 most intense, 2θ from 15° to 90°, sorted by position)
2θ (°)  I_rel
30.66  100
33.28  58
33.85  62
38.55  23
40.24  26
43.00  22
51.83  18
55.82  30
61.79  22
71.18  13

Structural model:
Unit cell a=8.0891 b=8.0891 c=4.2074 alpha=90.00 beta=90.00 gamma=120.00
Space group P-62m (No. 189)
Asymmetric unit:
Er1 0.0000 0.2355 0.0000 (multiplicity 3)
Er2 0.0000 0.6017 0.5000 (multiplicity 3)
Mn1 0.0000 0.0000 0.5000 (multiplicity 1)
Sb1 0.3333 0.6667 0.0000 (multiplicity 2)

# ErMnSi
Calculated PXRD pattern, Cu Kα (λ = 1.5418 Å). Input: DFT lattice parameters and positions (PBE).

Peak list (10 most intense, 2θ from 15° to 90°, sorted by position)
2θ (°)  I_rel
24.88  57
25.82  33
34.91  85
35.19  29
36.17  100
37.95  42
44.64  29
59.99  22
68.18  24
76.71  20

Structural model:
Unit cell a=6.9000 b=4.0598 c=7.5748 alpha=90.00 beta=90.00 gamma=90.00
Space group Pnma (No. 62)
Asymmetric unit:
Er1 0.0121 0.2500 0.1860 (multiplicity 4)
Mn1 0.1394 0.2500 0.5590 (multiplicity 4)
Si1 0.2136 0.7500 0.3886 (multiplicity 4)

# ErMnSi2
Calculated PXRD pattern, Cu Kα (λ = 1.5418 Å). Input: DFT lattice parameters and positions (PBE).

Peak list (10 most intense, 2θ from 15° to 90°, sorted by position)
2θ (°)  I_rel
22.03  31
22.41  25
24.31  42
31.00  76
34.97  100
35.54  72
40.51  38
43.39  33
43.88  32
57.69  35

Structural model:
Unit cell a=4.1712 b=15.8710 c=4.1266 alpha=90.00 beta=90.00 gamma=90.00
Space group Cmcm (No. 63)
Asymmetric unit:
Er1 0.0000 0.1058 0.2500 (multiplicity 4)
Mn1 0.0000 0.3130 0.2500 (multiplicity 4)
Si1 0.0000 0.2499 0.7500 (multiplicity 4)
Si2 0.0000 0.4562 0.2500 (multiplicity 4)

# ErMn2Si2
Calculated PXRD pattern, Cu Kα (λ = 1.5418 Å). Input: DFT lattice parameters and positions (PBE).

Peak list (10 most intense, 2θ from 15° to 90°, sorted by position)
2θ (°)  I_rel
24.54  54
34.95  79
37.17  100
46.87  36
50.25  26
53.61  14
59.78  40
64.11  17
71.15  18
80.56  20

Structural model:
Unit cell a=3.8767 b=3.8767 c=10.2765 alpha=90.00 beta=90.00 gamma=90.00
Space group I4/mmm (No. 139)
Asymmetric unit:
Er1 0.0000 0.0000 0.0000 (multiplicity 2)
Mn1 0.0000 0.5000 0.2500 (multiplicity 4)
Si1 0.0000 0.0000 0.3806 (multiplicity 4)